Entry 1:
Diffraction record for PmSmPu2Bi4. The powder XRD pattern is calculated, not measured: it uses a DFT-relaxed cell (GGA-PBE, Alexandria) and Cu Kα.
Intensities are scaled so that the largest is 100.

Cell and atoms:
```
data_PmSmPu2Bi4
_symmetry_space_group_name_H-M 'P 1'
_symmetry_Int_Tables_number 1
_cell_length_a 7.8872
_cell_length_b 7.8872
_cell_length_c 7.8872
_cell_angle_alpha 131.77
_cell_angle_beta 131.77
_cell_angle_gamma 70.59
loop_
_symmetry_equiv_pos_as_xyz
'x,y,z'
loop_
_atom_site_label
_atom_site_fract_x
_atom_site_fract_y
_atom_site_fract_z
_atom_site_occupancy
Pm1 0.0000 0.0000 0.0000 1
Sm1 0.5000 0.5000 0.0000 1
Pu1 0.2500 0.7500 0.5000 1
Pu2 0.7500 0.2500 0.5000 1
Bi1 0.0000 0.5000 0.5000 1
Bi2 0.2505 0.2505 0.0000 1
Bi3 0.5000 0.0000 0.5000 1
Bi4 0.7495 0.7495 0.0000 1
```

Largest 6 diffraction maxima, in order of falling intensity, 2θ from 10° to 80°:
2θ 27.69, I 100
2θ 39.57, I 79
2θ 64.71, I 38
2θ 48.98, I 29
2θ 71.78, I 29
2θ 57.20, I 14

Entry 2:
Diffraction record for CsU4Ir3Se12. The powder XRD pattern is calculated, not measured: it uses a DFT-relaxed cell (GGA-PBE, Alexandria) and Cu Kα.
Intensities are scaled so that the largest is 100.

Cell and atoms:
```
data_CsU4Ir3Se12
_symmetry_space_group_name_H-M 'P 1'
_symmetry_Int_Tables_number 1
_cell_length_a 8.8688
_cell_length_b 8.8688
_cell_length_c 8.8688
_cell_angle_alpha 109.47
_cell_angle_beta 109.47
_cell_angle_gamma 109.47
loop_
_symmetry_equiv_pos_as_xyz
'x,y,z'
loop_
_atom_site_label
_atom_site_fract_x
_atom_site_fract_y
_atom_site_fract_z
_atom_site_occupancy
Cs1 0.0000 0.0000 0.0000 1
U1 0.0000 0.0000 0.5000 1
U2 0.0000 0.5000 0.0000 1
U3 0.5000 0.0000 0.0000 1
U4 0.5000 0.5000 0.5000 1
Ir1 0.0000 0.5000 0.5000 1
Ir2 0.5000 0.0000 0.5000 1
Ir3 0.5000 0.5000 0.0000 1
Se1 0.1595 0.8342 0.3253 1
Se2 0.1658 0.3253 0.4911 1
Se3 0.1658 0.6747 0.8405 1
Se4 0.3253 0.1595 0.8342 1
Se5 0.3253 0.4911 0.1658 1
Se6 0.4911 0.1658 0.3253 1
Se7 0.5089 0.8342 0.6747 1
Se8 0.6747 0.5089 0.8342 1
Se9 0.6747 0.8405 0.1658 1
Se10 0.8342 0.3253 0.1595 1
Se11 0.8342 0.6747 0.5089 1
Se12 0.8405 0.1658 0.6747 1
```

Largest 6 diffraction maxima, in order of falling intensity, 2θ from 10° to 80°:
2θ 24.59, I 100
2θ 43.28, I 85
2θ 35.05, I 31
2θ 79.40, I 30
2θ 56.86, I 29
2θ 68.57, I 26

Entry 3:
Diffraction record for Be2Cd3Au7. The powder XRD pattern is calculated, not measured: it uses a DFT-relaxed cell (GGA-PBE, Alexandria) and Cu Kα.
Intensities are scaled so that the largest is 100.

Cell and atoms:
```
data_Be2Cd3Au7
_symmetry_space_group_name_H-M 'P 1'
_symmetry_Int_Tables_number 1
_cell_length_a 11.7668
_cell_length_b 11.7668
_cell_length_c 4.2865
_cell_angle_alpha 90.00
_cell_angle_beta 90.00
_cell_angle_gamma 158.14
loop_
_symmetry_equiv_pos_as_xyz
'x,y,z'
loop_
_atom_site_label
_atom_site_fract_x
_atom_site_fract_y
_atom_site_fract_z
_atom_site_occupancy
Be1 0.1202 0.8798 0.0000 1
Be2 0.8798 0.1202 0.0000 1
Cd1 0.3168 0.6832 0.5000 1
Cd2 0.5000 0.5000 0.5000 1
Cd3 0.6832 0.3168 0.5000 1
Au1 0.0000 0.0000 0.0000 1
Au2 0.0854 0.9146 0.5000 1
Au3 0.2163 0.7837 0.0000 1
Au4 0.4117 0.5883 0.0000 1
Au5 0.5883 0.4117 0.0000 1
Au6 0.7837 0.2163 0.0000 1
Au7 0.9146 0.0854 0.5000 1
```

Largest 6 diffraction maxima, in order of falling intensity, 2θ from 10° to 80°:
2θ 34.92, I 100
2θ 40.43, I 21
2θ 42.16, I 18
2θ 59.85, I 16
2θ 69.98, I 13
2θ 72.40, I 12